# LaCo2Ni3
Calculated powder XRD pattern, Cu Ka. Input: a cell relaxed with PBE.
Lines closer than 0.1° are merged.

Principal peaks in the range 2θ from 10° to 90°, in order of rising 2θ:
(1 0 1), 30.53 deg, d 2.928, rel. 47; (1 1 0), 36.30 deg, d 2.475, rel. 29; (2 0 0), 42.16 deg, d 2.143, rel. 36; (1 1 1), 42.95 deg, d 2.106, rel. 100; (0 0 2), 45.25 deg, d 2.004, rel. 28; (3 0 1), 69.89 deg, d 1.346, rel. 22

Structural model:
a = 4.9501 Å, b = 4.9501 Å, c = 4.0078 Å
α = 90.00°, β = 90.00°, γ = 120.00°
Element x y z (fractional)
La1 0.0000 0.0000 0.0000
Co1 0.3333 0.6667 0.0000
Co2 0.6667 0.3333 0.0000
Ni1 0.0000 0.5000 0.5000
Ni2 0.5000 0.0000 0.5000
Ni3 0.5000 0.5000 0.5000